Entry 1:
Simulated powder XRD pattern
Compound: Rb2YInI6
Radiation: CuKα
Structure: DFT lattice parameters and positions (PBE)
No peak broadening, texture or thermal motion is included.

Cell: 9.0027 9.0027 9.0027 Å, 60.00 60.00 60.00°
Sites, in units of the cell vectors:
1 Rb 0.2500 0.2500 0.2500
2 Rb 0.7500 0.7500 0.7500
3 Y 0.0000 0.0000 0.0000
4 In 0.5000 0.5000 0.5000
5 I 0.2379 0.2379 0.7621
6 I 0.2379 0.7621 0.2379
7 I 0.2379 0.7621 0.7621
8 I 0.7621 0.2379 0.2379
9 I 0.7621 0.2379 0.7621
10 I 0.7621 0.7621 0.2379

Main lines, in order of rising 2θ (10 to 90 degrees two-theta):
2theta  Rel. int.
13.91  35.1
24.22  77.2
28.03  100.0
31.42  18.0
40.06  73.9
47.36  34.7
49.61  25.7
63.72  13.3
65.58  31.7
72.78  22.9

Entry 2:
Simulated powder XRD pattern
Compound: MgU2As2O16
Radiation: CuKα
Structure: DFT lattice parameters and positions (PBE)
No peak broadening, texture or thermal motion is included.

Cell: 9.8342 9.8342 6.9061 Å, 98.38 98.38 43.02°
Sites, in units of the cell vectors:
1 Mg 0.0000 0.0000 0.0000
2 U 0.2407 0.2407 0.6331
3 U 0.7593 0.7593 0.3669
4 As 0.2860 0.2860 0.1819
5 As 0.7140 0.7140 0.8181
6 O 0.0824 0.7393 0.9619
7 O 0.0831 0.4388 0.3284
8 O 0.1419 0.1419 0.5532
9 O 0.2298 0.2298 0.9567
10 O 0.2607 0.9176 0.0381
11 O 0.3393 0.3393 0.7015
12 O 0.3772 0.3772 0.1635
13 O 0.4388 0.0831 0.3284
14 O 0.5612 0.9169 0.6716
15 O 0.6228 0.6228 0.8365
16 O 0.6607 0.6607 0.2985
17 O 0.7393 0.0824 0.9619
18 O 0.7702 0.7702 0.0433
19 O 0.8581 0.8581 0.4468
20 O 0.9169 0.5612 0.6716
21 O 0.9176 0.2607 0.0381

Main lines, in order of rising 2θ (10 to 90 degrees two-theta):
2theta  Rel. int.
17.47  58.2
19.65  69.1
21.89  49.3
24.69  70.3
26.62  85.2
28.68  100.0
30.09  38.3
30.65  52.3
31.75  36.9
46.03  30.5

Entry 3:
Simulated powder XRD pattern
Compound: Ag2TeO4
Radiation: CuKα
Structure: DFT lattice parameters and positions (PBE)
No peak broadening, texture or thermal motion is included.

Cell: 6.5803 6.5803 13.9480 Å, 91.12 91.12 91.61°
Sites, in units of the cell vectors:
1 Ag 0.0515 0.9485 0.7500
2 Ag 0.2190 0.5172 0.4324
3 Ag 0.2657 0.3899 0.6732
4 Ag 0.2747 0.7253 0.2500
5 Ag 0.3899 0.2657 0.1732
6 Ag 0.4828 0.7810 0.0676
7 Ag 0.5172 0.2190 0.9324
8 Ag 0.6101 0.7343 0.8268
9 Ag 0.7253 0.2747 0.7500
10 Ag 0.7343 0.6101 0.3268
11 Ag 0.7810 0.4828 0.5676
12 Ag 0.9485 0.0515 0.2500
13 Te 0.0000 0.0000 0.0000
14 Te 0.0000 0.0000 0.5000
15 Te 0.0866 0.4967 0.8965
16 Te 0.4967 0.0866 0.3965
17 Te 0.5033 0.9134 0.6035
18 Te 0.9134 0.5033 0.1035
19 O 0.0457 0.1935 0.8922
20 O 0.0470 0.2752 0.5467
21 O 0.0475 0.4849 0.2256
22 O 0.1103 0.7999 0.9031
23 O 0.1811 0.4913 0.0345
24 O 0.1935 0.0457 0.3922
25 O 0.2001 0.8897 0.5969
26 O 0.2752 0.0470 0.0467
27 O 0.3561 0.4725 0.8516
28 O 0.4725 0.3561 0.3516
29 O 0.4849 0.0475 0.7256
30 O 0.4913 0.1811 0.5345
31 O 0.5087 0.8189 0.4655
32 O 0.5151 0.9525 0.2744
33 O 0.5275 0.6439 0.6484
34 O 0.6439 0.5275 0.1484
35 O 0.7248 0.9530 0.9533
36 O 0.7999 0.1103 0.4031
37 O 0.8065 0.9543 0.6078
38 O 0.8189 0.5087 0.9655
39 O 0.8897 0.2001 0.0969
40 O 0.9525 0.5151 0.7744
41 O 0.9530 0.7248 0.4533
42 O 0.9543 0.8065 0.1078

Main lines, in order of rising 2θ (10 to 90 degrees two-theta):
2theta  Rel. int.
28.00  37.1
29.24  57.1
30.04  23.9
30.28  40.2
30.71  100.0
31.81  72.9
32.62  30.4
35.21  24.0
35.68  31.5
47.80  23.9

Entry 4:
Simulated powder XRD pattern
Compound: MoW3Se2S6
Radiation: CuKα
Structure: DFT lattice parameters and positions (PBE)
No peak broadening, texture or thermal motion is included.

Cell: 3.2219 3.2219 36.3914 Å, 90.00 90.00 120.00°
Sites, in units of the cell vectors:
1 Mo 0.0000 0.0000 0.0000
2 W 0.0000 0.0000 0.3758
3 W 0.6667 0.3333 0.1879
4 W 0.6667 0.3333 0.8121
5 Se 0.0000 0.0000 0.1406
6 Se 0.0000 0.0000 0.2351
7 S 0.0000 0.0000 0.7692
8 S 0.0000 0.0000 0.8551
9 S 0.6667 0.3333 0.0427
10 S 0.6667 0.3333 0.3329
11 S 0.6667 0.3333 0.4187
12 S 0.6667 0.3333 0.9573

Main lines, in order of rising 2θ (10 to 90 degrees two-theta):
2theta  Rel. int.
12.16  100.0
14.60  20.6
32.11  27.2
32.94  14.8
34.43  15.5
37.83  54.0
45.92  31.2
47.82  11.2
57.19  17.1
58.70  10.7

Entry 5:
Simulated powder XRD pattern
Compound: Sr6MgTe8O22
Radiation: CuKα
Structure: DFT lattice parameters and positions (PBE)
No peak broadening, texture or thermal motion is included.

Cell: 8.2104 9.4416 9.7938 Å, 96.62 112.17 98.79°
Sites, in units of the cell vectors:
1 Sr 0.0000 0.0000 0.0000
2 Sr 0.0433 0.5119 0.4690
3 Sr 0.2224 0.1215 0.4433
4 Sr 0.5024 0.9333 0.7768
5 Sr 0.6460 0.5740 0.7266
6 Sr 0.7070 0.1195 0.2712
7 Mg 0.3567 0.9106 0.0403
8 Te 0.2119 0.6230 0.8365
9 Te 0.3122 0.7735 0.3320
10 Te 0.3391 0.2583 0.8857
11 Te 0.3967 0.3735 0.3053
12 Te 0.7797 0.7807 0.1589
13 Te 0.8379 0.3526 0.0391
14 Te 0.8459 0.2117 0.6630
15 Te 0.8550 0.8388 0.5719
16 O 0.0520 0.1601 0.8139
17 O 0.0720 0.6791 0.2922
18 O 0.1647 0.8233 0.8456
19 O 0.1673 0.2461 0.2037
20 O 0.2714 0.9108 0.1990
21 O 0.3458 0.9060 0.5033
22 O 0.3482 0.1468 0.7202
23 O 0.3527 0.4473 0.4741
24 O 0.3697 0.6572 0.7311
25 O 0.3975 0.1260 0.0214
26 O 0.5232 0.2347 0.3976
27 O 0.5908 0.8846 0.0634
28 O 0.5992 0.3938 0.9377
29 O 0.6790 0.8914 0.4045
30 O 0.7468 0.8565 0.7129
31 O 0.7671 0.1491 0.9635
32 O 0.7975 0.6325 0.5235
33 O 0.8231 0.3548 0.2272
34 O 0.8234 0.7448 0.9844
35 O 0.8490 0.3929 0.7638
36 O 0.9395 0.9670 0.2476
37 O 0.9596 0.2558 0.5300

Main lines, in order of rising 2θ (10 to 90 degrees two-theta):
2theta  Rel. int.
18.66  37.1
23.96  45.0
25.28  89.1
27.17  97.1
27.50  100.0
27.91  90.4
28.13  82.6
29.06  81.2
38.49  38.7
47.97  32.7

Entry 6:
Simulated powder XRD pattern
Compound: Sn3O4
Radiation: CuKα
Structure: DFT lattice parameters and positions (PBE)
No peak broadening, texture or thermal motion is included.

Cell: 8.6441 8.6441 7.4082 Å, 90.00 90.00 90.00°
Sites, in units of the cell vectors:
1 Sn 0.0000 0.0000 0.1924
2 Sn 0.0000 0.0000 0.8076
3 Sn 0.1562 0.2364 0.5000
4 Sn 0.2364 0.8438 0.5000
5 Sn 0.2636 0.3438 0.0000
6 Sn 0.3438 0.7364 0.0000
7 Sn 0.5000 0.5000 0.3076
8 Sn 0.5000 0.5000 0.6924
9 Sn 0.6562 0.2636 0.0000
10 Sn 0.7364 0.6562 0.0000
11 Sn 0.7636 0.1562 0.5000
12 Sn 0.8438 0.7636 0.5000
13 O 0.0425 0.7862 0.3189
14 O 0.0425 0.7862 0.6811
15 O 0.2138 0.0425 0.3189
16 O 0.2138 0.0425 0.6811
17 O 0.2862 0.5425 0.1811
18 O 0.2862 0.5425 0.8189
19 O 0.4575 0.2862 0.1811
20 O 0.4575 0.2862 0.8189
21 O 0.5425 0.7138 0.1811
22 O 0.5425 0.7138 0.8189
23 O 0.7138 0.4575 0.1811
24 O 0.7138 0.4575 0.8189
25 O 0.7862 0.9575 0.3189
26 O 0.7862 0.9575 0.6811
27 O 0.9575 0.2138 0.3189
28 O 0.9575 0.2138 0.6811

Main lines, in order of rising 2θ (10 to 90 degrees two-theta):
2theta  Rel. int.
14.49  100.0
15.75  21.5
26.00  70.2
29.22  21.6
31.82  90.6
33.37  45.0
33.51  25.6
34.99  25.4
53.25  47.9
55.62  28.5

Entry 7:
Simulated powder XRD pattern
Compound: ZrCu
Radiation: CuKα
Structure: DFT lattice parameters and positions (PBE)
No peak broadening, texture or thermal motion is included.

Cell: 3.2733 3.2733 3.2733 Å, 90.00 90.00 90.00°
Sites, in units of the cell vectors:
1 Zr 0.0000 0.0000 0.0000
2 Cu 0.5000 0.5000 0.5000

Main lines, in order of rising 2θ (10 to 90 degrees two-theta):
2theta  Rel. int.
27.24  2.9
38.91  100.0
48.15  0.8
56.20  16.3
63.56  1.1
70.46  31.8
83.54  9.8
89.91  0.7

Entry 8:
Simulated powder XRD pattern
Compound: LiDy2Cl5
Radiation: CuKα
Structure: DFT lattice parameters and positions (PBE)
No peak broadening, texture or thermal motion is included.

Cell: 8.3233 8.3233 7.3400 Å, 92.84 92.84 45.29°
Sites, in units of the cell vectors:
1 Li 0.0000 0.5000 0.0000
2 Li 0.5000 0.0000 0.5000
3 Dy 0.1145 0.7352 0.4308
4 Dy 0.2648 0.8855 0.0692
5 Dy 0.7352 0.1145 0.9308
6 Dy 0.8855 0.2648 0.5692
7 Cl 0.1211 0.8789 0.7500
8 Cl 0.1489 0.2581 0.3305
9 Cl 0.2581 0.1489 0.8305
10 Cl 0.3152 0.5057 0.0976
11 Cl 0.4943 0.6848 0.4024
12 Cl 0.5057 0.3152 0.5976
13 Cl 0.6848 0.4943 0.9024
14 Cl 0.7419 0.8511 0.1695
15 Cl 0.8511 0.7419 0.6695
16 Cl 0.8789 0.1211 0.2500

Main lines, in order of rising 2θ (10 to 90 degrees two-theta):
2theta  Rel. int.
11.54  100.0
14.98  31.9
19.48  76.5
24.92  47.5
25.83  49.6
32.43  39.1
32.89  34.7
34.07  47.7
39.61  30.6
40.23  29.1

Please write out number 5 again, unchanged.
Simulated powder XRD pattern
Compound: Sr6MgTe8O22
Radiation: CuKα
Structure: DFT lattice parameters and positions (PBE)
No peak broadening, texture or thermal motion is included.

Cell: 8.2104 9.4416 9.7938 Å, 96.62 112.17 98.79°
Sites, in units of the cell vectors:
1 Sr 0.0000 0.0000 0.0000
2 Sr 0.0433 0.5119 0.4690
3 Sr 0.2224 0.1215 0.4433
4 Sr 0.5024 0.9333 0.7768
5 Sr 0.6460 0.5740 0.7266
6 Sr 0.7070 0.1195 0.2712
7 Mg 0.3567 0.9106 0.0403
8 Te 0.2119 0.6230 0.8365
9 Te 0.3122 0.7735 0.3320
10 Te 0.3391 0.2583 0.8857
11 Te 0.3967 0.3735 0.3053
12 Te 0.7797 0.7807 0.1589
13 Te 0.8379 0.3526 0.0391
14 Te 0.8459 0.2117 0.6630
15 Te 0.8550 0.8388 0.5719
16 O 0.0520 0.1601 0.8139
17 O 0.0720 0.6791 0.2922
18 O 0.1647 0.8233 0.8456
19 O 0.1673 0.2461 0.2037
20 O 0.2714 0.9108 0.1990
21 O 0.3458 0.9060 0.5033
22 O 0.3482 0.1468 0.7202
23 O 0.3527 0.4473 0.4741
24 O 0.3697 0.6572 0.7311
25 O 0.3975 0.1260 0.0214
26 O 0.5232 0.2347 0.3976
27 O 0.5908 0.8846 0.0634
28 O 0.5992 0.3938 0.9377
29 O 0.6790 0.8914 0.4045
30 O 0.7468 0.8565 0.7129
31 O 0.7671 0.1491 0.9635
32 O 0.7975 0.6325 0.5235
33 O 0.8231 0.3548 0.2272
34 O 0.8234 0.7448 0.9844
35 O 0.8490 0.3929 0.7638
36 O 0.9395 0.9670 0.2476
37 O 0.9596 0.2558 0.5300

Main lines, in order of rising 2θ (10 to 90 degrees two-theta):
2theta  Rel. int.
18.66  37.1
23.96  45.0
25.28  89.1
27.17  97.1
27.50  100.0
27.91  90.4
28.13  82.6
29.06  81.2
38.49  38.7
47.97  32.7

Copy entry 8 word for word.
Simulated powder XRD pattern
Compound: LiDy2Cl5
Radiation: CuKα
Structure: DFT lattice parameters and positions (PBE)
No peak broadening, texture or thermal motion is included.

Cell: 8.3233 8.3233 7.3400 Å, 92.84 92.84 45.29°
Sites, in units of the cell vectors:
1 Li 0.0000 0.5000 0.0000
2 Li 0.5000 0.0000 0.5000
3 Dy 0.1145 0.7352 0.4308
4 Dy 0.2648 0.8855 0.0692
5 Dy 0.7352 0.1145 0.9308
6 Dy 0.8855 0.2648 0.5692
7 Cl 0.1211 0.8789 0.7500
8 Cl 0.1489 0.2581 0.3305
9 Cl 0.2581 0.1489 0.8305
10 Cl 0.3152 0.5057 0.0976
11 Cl 0.4943 0.6848 0.4024
12 Cl 0.5057 0.3152 0.5976
13 Cl 0.6848 0.4943 0.9024
14 Cl 0.7419 0.8511 0.1695
15 Cl 0.8511 0.7419 0.6695
16 Cl 0.8789 0.1211 0.2500

Main lines, in order of rising 2θ (10 to 90 degrees two-theta):
2theta  Rel. int.
11.54  100.0
14.98  31.9
19.48  76.5
24.92  47.5
25.83  49.6
32.43  39.1
32.89  34.7
34.07  47.7
39.61  30.6
40.23  29.1

Number 2 is which compound?
MgU2As2O16